# 1
For GdSiHO4, a structure optimized by DFT (GGA-PBE) gives the calculated XRD peak list in this record (Cu Kα, 1.54184 Å).

Atomic structure:
```
data_GdSiHO4
_chemical_formula_sum 'Gd4 Si4 H4 O16'
_space_group_name_H-M_alt 'P 1 21/c 1'
_space_group_IT_number 14
_cell_length_a 5.405
_cell_length_b 6.233
_cell_length_c 11.109
_cell_angle_alpha 90.00
_cell_angle_beta 115.47
_cell_angle_gamma 90.00
loop_
_space_group_symop_operation_xyz
'x,y,z'
'-x,-y,-z'
'-x,y+1/2,-z+1/2'
'x,-y+1/2,z+1/2'
loop_
_atom_site_label
_atom_site_type_symbol
_atom_site_fract_x
_atom_site_fract_y
_atom_site_fract_z
Gd1 Gd 0.074 0.103 0.352
Si1 Si 0.407 0.163 0.656
H1 H 0.334 0.509 0.562
O1 O 0.256 0.163 0.755
O2 O 0.262 0.659 0.770
O3 O 0.284 0.546 0.059
O4 O 0.285 0.141 0.040
```

Peak list (10 most intense, 10° ≤ 2θ ≤ 90°, by angle)
hkl  two_theta  I/Imax
0 1 1  16.75  100
1 0 0  18.18  55
1 1 0  23.15  26
1 1 -2  23.94  47
1 1 1  27.53  35
1 1 -3  28.86  37
0 1 3  30.34  57
2 0 -2  33.21  90
1 1 2  33.86  29
1 0 4  47.36  31

# 2
For Cu2Ag5, a structure optimized by DFT (GGA-PBE) gives the calculated XRD peak list in this record (Cu Kα, 1.54184 Å).

Atomic structure:
```
data_Cu2Ag5
_chemical_formula_sum 'Cu4 Ag10'
_space_group_name_H-M_alt 'C 1 2/m 1'
_space_group_IT_number 12
_cell_length_a 9.494
_cell_length_b 2.884
_cell_length_c 8.392
_cell_angle_alpha 90.00
_cell_angle_beta 93.89
_cell_angle_gamma 90.00
loop_
_space_group_symop_operation_xyz
'x,y,z'
'-x,-y,-z'
'-x,y,-z'
'x,-y,z'
'x+1/2,y+1/2,z'
'-x+1/2,-y+1/2,-z'
'-x+1/2,y+1/2,-z'
'x+1/2,-y+1/2,z'
loop_
_atom_site_label
_atom_site_type_symbol
_atom_site_fract_x
_atom_site_fract_y
_atom_site_fract_z
Cu1 Cu 0.215 0.000 0.373
Ag1 Ag 0.000 0.500 0.500
Ag2 Ag 0.082 0.000 0.780
Ag3 Ag 0.142 0.500 0.086
```

Peak list (10 most intense, 10° ≤ 2θ ≤ 90°, by angle)
hkl  two_theta  I/Imax
2 0 3  38.54  33
1 1 -2  38.75  100
3 1 1  44.37  45
2 0 -4  46.21  18
6 0 2  64.48  8
1 1 5  65.80  12
5 1 -3  66.18  12
5 1 4  77.64  8
2 2 3  77.83  8
4 2 -1  78.00  15

# 3
For SrTh2Tc2, a structure optimized by DFT (GGA-PBE) gives the calculated XRD peak list in this record (Cu Kα, 1.54184 Å).

Atomic structure:
```
data_SrTh2Tc2
_chemical_formula_sum 'Sr4 Th8 Tc8'
_space_group_name_H-M_alt 'I b a m'
_space_group_IT_number 72
_space_group_name_Hall '-I 2 2c'
_cell_length_a 8.682
_cell_length_b 9.833
_cell_length_c 6.222
_cell_angle_alpha 90.00
_cell_angle_beta 90.00
_cell_angle_gamma 90.00
loop_
_atom_site_label
_atom_site_type_symbol
_atom_site_fract_x
_atom_site_fract_y
_atom_site_fract_z
Sr1 Sr 0.000 0.000 0.250
Th1 Th 0.115 0.353 0.000
Tc1 Tc 0.179 0.356 0.500
```

Peak list (10 most intense, 10° ≤ 2θ ≤ 90°, by angle)
hkl  two_theta  I/Imax
1 1 0  13.61  70
2 1 1  26.63  56
0 0 2  28.69  71
1 3 0  29.12  100
1 1 2  31.88  81
3 1 0  32.24  44
3 2 1  38.90  65
1 3 2  41.34  31
0 4 2  47.12  49
4 0 2  51.34  74

# 4
For NbZn16, a structure optimized by DFT (GGA-PBE) gives the calculated XRD peak list in this record (Cu Kα, 1.54184 Å).

Atomic structure:
```
data_NbZn16
_chemical_formula_sum 'Nb4 Zn64'
_space_group_name_H-M_alt 'C m c m'
_space_group_IT_number 63
_space_group_name_Hall '-C 2c 2'
_cell_length_a 7.670
_cell_length_b 11.407
_cell_length_c 11.631
_cell_angle_alpha 90.00
_cell_angle_beta 90.00
_cell_angle_gamma 90.00
loop_
_atom_site_label
_atom_site_type_symbol
_atom_site_fract_x
_atom_site_fract_y
_atom_site_fract_z
Nb1 Nb 0.000 0.048 0.250
Zn1 Zn 0.000 0.000 0.000
Zn2 Zn 0.000 0.176 0.640
Zn3 Zn 0.000 0.291 0.250
Zn4 Zn 0.000 0.380 0.532
Zn5 Zn 0.163 0.356 0.750
Zn6 Zn 0.168 0.187 0.069
Zn7 Zn 0.203 0.447 0.134
```

Peak list (10 most intense, 10° ≤ 2θ ≤ 90°, by angle)
hkl  two_theta  I/Imax
2 0 4  38.87  27
0 4 3  39.25  63
2 4 1  40.16  87
1 3 4  40.80  78
1 5 0  41.30  29
0 2 5  41.97  99
2 2 4  42.09  35
3 1 3  43.12  100
3 3 2  45.51  28
6 0 0  74.20  29

# 5
For Pr2GdTa2N6, a structure optimized by DFT (GGA-PBE) gives the calculated XRD peak list in this record (Cu Kα, 1.54184 Å).

Atomic structure:
```
data_Pr2GdTa2N6
_chemical_formula_sum 'Pr4 Gd2 Ta4 N12'
_space_group_name_H-M_alt 'I 4/m m m'
_space_group_IT_number 139
_space_group_name_Hall '-I 4 2'
_cell_length_a 4.026
_cell_length_b 4.026
_cell_length_c 19.626
_cell_angle_alpha 90.00
_cell_angle_beta 90.00
_cell_angle_gamma 90.00
loop_
_atom_site_label
_atom_site_type_symbol
_atom_site_fract_x
_atom_site_fract_y
_atom_site_fract_z
Pr1 Pr 0.000 0.000 0.180
Gd1 Gd 0.000 0.000 0.000
Ta1 Ta 0.000 0.000 0.403
N1 N 0.000 0.000 0.303
N2 N 0.000 0.500 0.080
```

Peak list (10 most intense, 10° ≤ 2θ ≤ 90°, by angle)
hkl  two_theta  I/Imax
1 1 0  31.42  60
1 0 5  31.84  100
1 0 7  39.15  10
2 0 0  45.03  29
2 1 5  56.20  44
1 1 10  56.99  14
2 2 0  65.58  9
2 0 10  66.54  9
3 1 0  74.52  10
3 0 5  74.76  13

# 6
For GdHoAu6, a structure optimized by DFT (GGA-PBE) gives the calculated XRD peak list in this record (Cu Kα, 1.54184 Å).

Atomic structure:
```
data_GdHoAu6
_chemical_formula_sum 'Gd1 Ho1 Au6'
_space_group_name_H-M_alt 'P m m 2'
_space_group_IT_number 25
_cell_length_a 5.044
_cell_length_b 6.179
_cell_length_c 5.138
_cell_angle_alpha 90.00
_cell_angle_beta 90.00
_cell_angle_gamma 90.00
loop_
_space_group_symop_operation_xyz
'x,y,z'
'-x,-y,z'
'-x,y,z'
'x,-y,z'
loop_
_atom_site_label
_atom_site_type_symbol
_atom_site_fract_x
_atom_site_fract_y
_atom_site_fract_z
Gd1 Gd 0.000 0.000 0.000
Ho1 Ho 0.500 0.500 0.687
Au1 Au 0.000 0.259 0.505
Au2 Au 0.000 0.500 0.008
Au3 Au 0.500 0.000 0.673
Au4 Au 0.500 0.247 0.182
```

Peak list (10 most intense, 10° ≤ 2θ ≤ 90°, by angle)
hkl  two_theta  I/Imax
0 2 1  33.85  27
2 0 0  35.60  43
1 2 1  38.40  100
1 0 2  39.36  52
2 2 1  49.94  18
0 2 3  61.95  17
3 2 1  65.80  21
2 4 0  71.64  11
2 2 3  73.53  21
1 4 2  74.03  16

# 7
For Pr4GaSbS9, a structure optimized by DFT (GGA-PBE) gives the calculated XRD peak list in this record (Cu Kα, 1.54184 Å).

Atomic structure:
```
data_Pr4GaSbS9
_chemical_formula_sum 'Pr32 Ga8 Sb8 S72'
_space_group_name_H-M_alt 'A e a 2'
_space_group_IT_number 41
_cell_length_a 13.925
_cell_length_b 14.363
_cell_length_c 14.544
_cell_angle_alpha 90.00
_cell_angle_beta 90.00
_cell_angle_gamma 90.00
loop_
_space_group_symop_operation_xyz
'x,y,z'
'-x,-y,z'
'-x+1/2,y+1/2,z'
'x+1/2,-y+1/2,z'
'x,y+1/2,z+1/2'
'-x,-y+1/2,z+1/2'
'-x+1/2,y,z+1/2'
'x+1/2,-y,z+1/2'
loop_
_atom_site_label
_atom_site_type_symbol
_atom_site_fract_x
_atom_site_fract_y
_atom_site_fract_z
Pr1 Pr 0.101 0.172 0.000
Pr2 Pr 0.104 0.113 0.558
Pr3 Pr 0.179 0.166 0.285
Pr4 Pr 0.186 0.391 0.513
Ga1 Ga 0.093 0.396 0.774
Sb1 Sb 0.114 0.423 0.242
S1 S 0.000 0.000 0.361
S2 S 0.000 0.000 0.996
S3 S 0.002 0.193 0.179
S4 S 0.069 0.252 0.427
S5 S 0.079 0.092 0.756
S6 S 0.100 0.411 0.071
S7 S 0.190 0.305 0.869
S8 S 0.201 0.487 0.690
S9 S 0.248 0.235 0.619
S10 S 0.250 0.058 0.433
```

Peak list (10 most intense, 10° ≤ 2θ ≤ 90°, by angle)
hkl  two_theta  I/Imax
0 0 4  24.48  63
0 4 0  24.80  31
4 0 0  25.61  48
3 2 2  25.93  100
1 5 1  32.41  31
3 3 3  32.60  35
5 1 1  33.34  32
0 4 4  35.12  44
4 0 4  35.72  59
7 2 2  49.14  53

# 8
For KCoAgTeSe2, a structure optimized by DFT (GGA-PBE) gives the calculated XRD peak list in this record (Cu Kα, 1.54184 Å).

Atomic structure:
```
data_KCoAgTeSe2
_chemical_formula_sum 'K4 Co4 Ag4 Te4 Se8'
_space_group_name_H-M_alt 'C m c m'
_space_group_IT_number 63
_space_group_name_Hall '-C 2c 2'
_cell_length_a 3.643
_cell_length_b 16.043
_cell_length_c 10.437
_cell_angle_alpha 90.00
_cell_angle_beta 90.00
_cell_angle_gamma 90.00
loop_
_atom_site_label
_atom_site_type_symbol
_atom_site_fract_x
_atom_site_fract_y
_atom_site_fract_z
K1 K 0.000 0.247 0.250
Co1 Co 0.000 0.000 0.000
Ag1 Ag 0.000 0.426 0.750
Te1 Te 0.000 0.063 0.750
Se1 Se 0.000 0.398 0.512
```

Peak list (10 most intense, 10° ≤ 2θ ≤ 90°, by angle)
hkl  two_theta  I/Imax
0 2 0  11.03  100
1 3 1  30.91  57
0 6 0  33.52  13
0 0 4  34.37  38
0 2 4  36.20  12
1 5 0  37.35  14
1 3 3  39.58  20
2 0 0  50.09  13
1 3 5  53.41  15
0 0 8  72.43  14

# 9
For BaAg2MoSe3S, a structure optimized by DFT (GGA-PBE) gives the calculated XRD peak list in this record (Cu Kα, 1.54184 Å).

Atomic structure:
```
data_BaAg2MoSe3S
_chemical_formula_sum 'Ba1 Ag2 Mo1 Se3 S1'
_space_group_name_H-M_alt 'P 1'
_space_group_IT_number 1
_cell_length_a 6.573
_cell_length_b 6.609
_cell_length_c 6.612
_cell_angle_alpha 110.22
_cell_angle_beta 116.93
_cell_angle_gamma 100.98
loop_
_space_group_symop_operation_xyz
'x,y,z'
loop_
_atom_site_label
_atom_site_type_symbol
_atom_site_fract_x
_atom_site_fract_y
_atom_site_fract_z
Ba1 Ba 0.000 0.000 0.000
Ag1 Ag 0.187 0.685 0.509
Ag2 Ag 0.817 0.321 0.484
Mo1 Mo 0.515 0.485 0.009
Se1 Se 0.141 0.518 0.986
Se2 Se 0.476 0.471 0.617
Se3 Se 0.861 0.860 0.388
S1 S 0.526 0.138 0.005
```

Peak list (10 most intense, 10° ≤ 2θ ≤ 90°, by angle)
hkl  two_theta  I/Imax
0 1 0  15.70  25
-1 1 1  23.53  29
1 1 0  27.36  56
1 1 -2  27.58  100
2 0 -1  27.69  44
1 0 -2  28.96  34
0 0 2  35.00  54
2 -2 0  35.46  59
1 -3 0  43.93  23
3 -1 0  46.79  33